Simulated X-ray diffraction stick pattern of BaLiAgS2 for a wavelength of 1.5418 Å, from DFT lattice parameters and positions (GGA-PBE).
Lines closer than 0.1° are merged.

Structural model:
a = 5.845 Å, b = 13.743 Å, c = 5.758 Å
α = 90.00°, β = 90.00°, γ = 90.00°
Space group Cmme (No. 67)
Asymmetric unit:
1 Ba 0.000 0.250 0.243 (multiplicity 4)
2 Li 0.250 0.000 0.500 (multiplicity 4)
3 Ag 0.000 0.000 0.000 (multiplicity 4)
4 S 0.000 0.124 0.714 (multiplicity 8)

Most intense lines, 10 to 90 degrees two-theta, sorted by position:
(0 0 1), 2θ 15.39, 5.758 Å, rel. 338; (0 2 1), 2θ 20.12, 4.414 Å, rel. 405; (1 1 1), 2θ 22.62, 3.931 Å, rel. 405; (0 4 0), 2θ 25.93, 3.436 Å, rel. 345; (1 3 1), 2θ 29.22, 3.056 Å, rel. 1000; (0 4 1), 2θ 30.29, 2.951 Å, rel. 236; (2 0 0), 2θ 30.59, 2.922 Å, rel. 654; (0 2 2), 2θ 33.75, 2.656 Å, rel. 660; (1 5 1), 2θ 39.46, 2.283 Å, rel. 424; (2 2 2), 2θ 46.19, 1.965 Å, rel. 492